The following is a simulated PXRD pattern of HfUS2N. It was derived from a crystal structure in Alexandria, relaxed with PBE, using a wavelength of 1.5418 Å.

Largest 6 diffraction maxima, in order of rising 2θ, 10° ≤ 2θ ≤ 90°:
| 2θ/deg | I (rel.) | index |
| --- | --- | --- |
| 13.77 | 25 | 0 0 2 |
| 27.97 | 100 | 1 0 2 |
| 34.53 | 59 | 1 1 0 |
| 37.16 | 42 | 1 0 4 |
| 44.86 | 27 | 1 1 4 |
| 57.94 | 28 | 2 1 2 |

Structure:
```
data_HfUS2N
_chemical_formula_sum 'Hf2 U2 S4 N2'
_symmetry_space_group_name_H-M 'P 4/n m m'
_symmetry_Int_Tables_number 129
_cell_length_a 3.673
_cell_length_b 3.673
_cell_length_c 12.859
_cell_angle_alpha 90.00
_cell_angle_beta 90.00
_cell_angle_gamma 90.00
loop_
_symmetry_equiv_pos_as_xyz
'x,y,z'
'-x,-y,-z'
'-y+1/2,x,z'
'y+1/2,-x,-z'
'-x+1/2,-y+1/2,z'
'x+1/2,y+1/2,-z'
'y,-x+1/2,z'
'-y,x+1/2,-z'
'x+1/2,-y,-z'
'-x+1/2,y,z'
'-y,-x,-z'
'y,x,z'
'-x,y+1/2,-z'
'x,-y+1/2,z'
'y+1/2,x+1/2,-z'
'-y+1/2,-x+1/2,z'
loop_
_atom_site_label
_atom_site_fract_x
_atom_site_fract_y
_atom_site_fract_z
Hf1 0.250 0.250 0.090
U1 0.250 0.250 0.597
S1 0.250 0.250 0.294
S2 0.250 0.250 0.886
N1 0.250 0.750 0.500
```